For SrRuO3, a cell relaxed with PBE gives the simulated powder diffractogram in this record (CuKα).

Structural model:
```
SrRuO3
1.0
2.823 -5.676 0.000
2.823 5.676 0.000
0.000 0.000 3.899
Sr Ru O
2 2 6
Direct
0.150 0.850 0.000
0.850 0.150 0.000
0.389 0.611 0.500
0.611 0.389 0.500
0.000 0.500 0.500
0.227 0.227 0.500
0.372 0.628 0.000
0.500 0.000 0.500
0.628 0.372 0.000
0.773 0.773 0.500
```

The 8 most intense peaks (10° ≤ 2θ ≤ 80°), in order of rising 2θ:
| Position (°2θ) | I/Imax |
| --- | --- |
| 28.92 | 100 |
| 31.53 | 34 |
| 31.70 | 44 |
| 36.73 | 61 |
| 45.32 | 48 |
| 46.59 | 27 |
| 54.77 | 19 |
| 67.02 | 27 |